1.
Calculated powder X-ray diffraction pattern of Os3SeO5 for a wavelength of 1.5418 Å, from a crystal structure in OQMD, relaxed with GGA-PBE.
Kinematic intensities with the Lorentz-polarization factor, no thermal factor.

Crystal structure
```
data_Os3SeO5
_chemical_formula_sum 'Os12 Se4 O20'
_cell_length_a 11.2072
_cell_length_b 7.5133
_cell_length_c 4.9693
_cell_angle_alpha 90.00
_cell_angle_beta 90.00
_cell_angle_gamma 90.00
_symmetry_space_group_name_H-M 'C m c 21'
_symmetry_Int_Tables_number 36
_symmetry_space_group_name_Hall 'C 2c -2'
loop_
_atom_site_label
_atom_site_type_symbol
_atom_site_fract_x
_atom_site_fract_y
_atom_site_fract_z
Os1 Os 0.0000 0.1409 0.0000
Os2 Os 0.2250 0.4301 0.9154
Se1 Se 0.0000 0.4508 0.1129
O1 O 0.0000 0.2324 0.6718
O2 O 0.1046 0.0526 0.3270
O3 O 0.2231 0.3197 0.5336
```

Most intense lines, 15 to 90 degrees two-theta, most intense first:
- 2θ 33.92, I 100, hkl 2 2 1
- 2θ 31.94, I 64, hkl 4 0 0
- 2θ 22.88, I 48, hkl 1 1 1
- 2θ 58.25, I 35, hkl 5 3 1
- 2θ 39.68, I 31, hkl 2 0 2
- 2θ 36.15, I 28, hkl 0 0 2
- 2θ 23.68, I 26, hkl 0 2 0
- 2θ 52.05, I 25, hkl 0 4 1

=====

2.
Calculated powder X-ray diffraction pattern of Sn2Os2O7 for a wavelength of 1.5418 Å, from a crystal structure in OQMD, relaxed with GGA-PBE.
Kinematic intensities with the Lorentz-polarization factor, no thermal factor.

Crystal structure
```
data_Sn2Os2O7
_chemical_formula_sum 'Sn8 Os8 O28'
_cell_length_a 10.1186
_cell_length_b 7.4613
_cell_length_c 7.2198
_cell_angle_alpha 90.00
_cell_angle_beta 90.00
_cell_angle_gamma 90.00
_symmetry_space_group_name_H-M 'I m a 2'
_symmetry_Int_Tables_number 46
_symmetry_space_group_name_Hall 'I 2 -2a'
loop_
_atom_site_label
_atom_site_type_symbol
_atom_site_fract_x
_atom_site_fract_y
_atom_site_fract_z
Sn1 Sn 0.0000 0.0000 0.0000
Sn2 Sn 0.2500 0.2126 0.7251
Os1 Os 0.0000 0.0000 0.4862
Os2 Os 0.2500 0.7484 0.7387
O1 O 0.0940 0.2329 0.4925
O2 O 0.1122 0.5677 0.7754
O3 O 0.1172 0.5577 0.2016
O4 O 0.2500 0.6623 0.4884
```

Most intense lines, 15 to 90 degrees two-theta, most intense first:
- 2θ 29.75, I 100, hkl 2 2 0
- 2θ 30.42, I 94, hkl 2 0 2
- 2θ 50.38, I 55, hkl 4 2 2
- 2θ 34.58, I 50, hkl 0 2 2
- 2θ 58.62, I 28, hkl 2 4 2
- 2θ 59.78, I 27, hkl 2 2 4
- 2θ 35.49, I 26, hkl 4 0 0
- 2θ 82.41, I 18, hkl 6 2 4

=====

3.
Calculated powder X-ray diffraction pattern of Sn15Os3O14 for a wavelength of 1.5418 Å, from a crystal structure in OQMD, relaxed with GGA-PBE.
Kinematic intensities with the Lorentz-polarization factor, no thermal factor.

Crystal structure
```
data_Sn15Os3O14
_chemical_formula_sum 'Sn30 Os6 O28'
_cell_length_a 12.5214
_cell_length_b 7.1651
_cell_length_c 13.0353
_cell_angle_alpha 90.00
_cell_angle_beta 108.48
_cell_angle_gamma 90.00
_symmetry_space_group_name_H-M 'C 1 m 1'
_symmetry_Int_Tables_number 8
_symmetry_space_group_name_Hall 'C -2y'
loop_
_atom_site_label
_atom_site_type_symbol
_atom_site_fract_x
_atom_site_fract_y
_atom_site_fract_z
Sn1 Sn 0.0000 0.0000 0.0000
Sn2 Sn 0.0094 0.2398 0.2737
Sn3 Sn 0.0292 0.5000 0.0319
Sn4 Sn 0.0837 0.5000 0.7708
Sn5 Sn 0.1636 0.5000 0.4909
Sn6 Sn 0.1916 0.0000 0.5323
Sn7 Sn 0.2373 0.0000 0.2405
Sn8 Sn 0.2706 0.2617 0.0227
Sn9 Sn 0.2767 0.5000 0.2896
Sn10 Sn 0.3428 0.2411 0.7650
Sn11 Sn 0.4322 0.2429 0.5370
Os1 Os 0.2946 0.5000 0.8803
Os2 Os 0.3906 0.0000 0.1467
Os3 Os 0.4813 0.5000 0.4174
O1 O 0.0547 0.0000 0.1695
O2 O 0.0556 0.5000 0.5851
O3 O 0.0936 0.2324 0.9960
O4 O 0.1895 0.2537 0.2969
O5 O 0.2210 0.5000 0.1215
O6 O 0.2532 0.0000 0.7017
O7 O 0.2699 0.2857 0.5787
O8 O 0.3339 0.0000 0.4770
O9 O 0.4537 0.0000 0.8597
O10 O 0.4792 0.2268 0.7055
```

Most intense lines, 15 to 90 degrees two-theta, most intense first:
- 2θ 33.44, I 100, hkl 2 2 -3
- 2θ 50.62, I 94, hkl 6 2 -2
- 2θ 31.17, I 91, hkl 2 2 1
- 2θ 18.63, I 86, hkl 1 1 -2
- 2θ 51.11, I 66, hkl 4 0 -7
- 2θ 33.18, I 63, hkl 4 0 1
- 2θ 28.88, I 58, hkl 0 0 4
- 2θ 31.05, I 56, hkl 4 0 -3